This entry pairs a crystal structure of Pa2TiBeN5 with its computed powder XRD pattern. Radiation: Cu Kα. Structure: a crystal structure in Alexandria, relaxed with PBE.
Peak positions follow from Bragg's law for the DFT cell and can differ from measured ones.

The 8 most intense peaks (10° ≤ 2θ ≤ 80°), low angle first:
2θ/deg, I (rel.)
16.35, 46
18.47, 52
27.15, 65
28.63, 67
31.07, 100
33.04, 36
34.64, 43
40.37, 75

Structure:
a = 6.7633 Å, b = 6.7633 Å, c = 9.6061 Å
α = 90.00°, β = 90.00°, γ = 152.54°
Fractional positions:
Pa  0.1180  0.8820  0.5000
Pa  0.1322  0.8678  0.1331
Pa  0.8678  0.1322  0.6331
Pa  0.8820  0.1180  0.0000
Ti  0.1904  0.8096  0.8249
Ti  0.8096  0.1904  0.3249
Be  0.4548  0.5452  0.2597
Be  0.5452  0.4548  0.7597
N  0.0382  0.9618  0.8341
N  0.2960  0.7040  0.4770
N  0.3139  0.6861  0.1796
N  0.3471  0.6529  0.8224
N  0.4943  0.5057  0.5928
N  0.5057  0.4943  0.0928
N  0.6529  0.3471  0.3224
N  0.6861  0.3139  0.6796
N  0.7040  0.2960  0.9770
N  0.9618  0.0382  0.3341